Record 1
For Er12Ni6Os, DFT lattice parameters and positions (PBE) gives the simulated powder XRD pattern in this record (CuKα).
Lines closer than 0.1° are merged.

The 6 most intense peaks (2θ = 10–90°), by angle:
| d/Å | Position (°2θ) | intensity | (hkl) |
| --- | --- | --- | --- |
| 2.982 | 30.0 | 36.4 | 3 1 0 |
| 2.722 | 32.9 | 40.1 | 2 2 2 |
| 2.520 | 35.6 | 100.0 | 3 2 1 |
| 1.617 | 56.9 | 32.0 | 5 0 3 |
| 1.530 | 60.5 | 32.2 | 5 3 2 |
| 1.333 | 70.6 | 17.7 | 5 4 3 |

Atomic structure:
Unit cell a=9.428 b=9.428 c=9.428 alpha=90.00 beta=90.00 gamma=90.00
Space group Im-3 (No. 204)
Symmetry-distinct sites (fractional):
Er: 0.000 0.182 0.294 [24 per cell]
Ni: 0.000 0.372 0.500 [12 per cell]
Os: 0.000 0.000 0.000 [2 per cell]

---

Record 2
For Er3Ni4P4, DFT lattice parameters and positions (PBE) gives the simulated powder XRD pattern in this record (CuKα).
Lines closer than 0.1° are merged.

The 6 most intense peaks (2θ = 10–90°), by angle:
| d/Å | Position (°2θ) | intensity | (hkl) |
| --- | --- | --- | --- |
| 3.435 | 25.9 | 37.4 | 0 1 3 |
| 2.484 | 36.2 | 50.4 | 1 0 7 |
| 2.454 | 36.6 | 100.0 | 1 1 4 |
| 1.926 | 47.2 | 20.6 | 0 2 0 |
| 1.919 | 47.4 | 20.3 | 2 0 0 |
| 1.522 | 60.9 | 19.7 | 1 2 7 |

Atomic structure:
Unit cell a=3.838 b=3.852 c=22.797 alpha=90.00 beta=90.00 gamma=90.00
Space group Immm (No. 71)
Symmetry-distinct sites (fractional):
Er: 0.000 0.000 0.000 [2 per cell]
Er: 0.000 0.500 0.149 [4 per cell]
Ni: 0.000 0.000 0.251 [4 per cell]
Ni: 0.000 0.500 0.405 [4 per cell]
P: 0.000 0.000 0.449 [4 per cell]
P: 0.000 0.500 0.307 [4 per cell]

---

Record 3
For Er2Ni5P3, DFT lattice parameters and positions (PBE) gives the simulated powder XRD pattern in this record (CuKα).
Lines closer than 0.1° are merged.

The 6 most intense peaks (2θ = 10–90°), by angle:
| d/Å | Position (°2θ) | intensity | (hkl) |
| --- | --- | --- | --- |
| 2.888 | 31.0 | 29.1 | 0 8 0 |
| 2.479 | 36.2 | 100.0 | 1 7 0 |
| 2.374 | 37.9 | 48.7 | 1 3 2 |
| 2.322 | 38.8 | 32.4 | 1 7 1 |
| 2.186 | 41.3 | 29.0 | 0 2 3 |
| 1.877 | 48.5 | 36.3 | 2 0 0 |

Atomic structure:
Unit cell a=3.753 b=23.074 c=6.682 alpha=90.00 beta=90.00 gamma=90.00
Space group Cmc2_1 (No. 36)
Symmetry-distinct sites (fractional):
Er: 0.000 0.049 0.000 [4 per cell]
Er: 0.000 0.341 0.159 [4 per cell]
Ni: 0.000 0.069 0.589 [4 per cell]
Ni: 0.000 0.212 0.972 [4 per cell]
Ni: 0.000 0.219 0.351 [4 per cell]
Ni: 0.000 0.348 0.662 [4 per cell]
Ni: 0.000 0.444 0.844 [4 per cell]
P: 0.000 0.122 0.327 [4 per cell]
P: 0.000 0.252 0.664 [4 per cell]
P: 0.000 0.469 0.190 [4 per cell]

---

Record 4
For ErNi2P, DFT lattice parameters and positions (PBE) gives the simulated powder XRD pattern in this record (CuKα).
Lines closer than 0.1° are merged.

The 6 most intense peaks (2θ = 10–90°), by angle:
| d/Å | Position (°2θ) | intensity | (hkl) |
| --- | --- | --- | --- |
| 3.412 | 26.1 | 64.1 | 1 0 1 |
| 2.619 | 34.2 | 58.2 | 1 1 0 |
| 2.510 | 35.8 | 45.9 | 1 1 1 |
| 2.294 | 39.3 | 100.0 | 1 0 3 |
| 2.248 | 40.1 | 80.1 | 1 1 2 |
| 1.852 | 49.2 | 56.8 | 2 0 0 |

Atomic structure:
Unit cell a=3.704 b=3.704 c=8.764 alpha=90.00 beta=90.00 gamma=90.00
Space group P4/nmm (No. 129, origin choice 2)
Symmetry-distinct sites (fractional):
Er: 0.250 0.250 0.224 [2 per cell]
Ni: 0.250 0.250 0.914 [2 per cell]
Ni: 0.250 0.750 0.500 [2 per cell]
P: 0.250 0.250 0.653 [2 per cell]